Starting from DFT lattice parameters and positions (GGA-PBE), the XRD peak list of Zn7Ir2Au2 was calculated for Cu Kα (weighted mean of Kα1 and Kα2).

Top 8 peaks for 2θ = 10–90°, low angle first:
d = 3.389 Å, intensity 100; d = 3.302 Å, intensity 89; d = 2.402 Å, intensity 37; d = 2.123 Å, intensity 44; d = 2.117 Å, intensity 43; d = 1.958 Å, intensity 35; d = 1.936 Å, intensity 45; d = 1.753 Å, intensity 58

Atomic structure:
Lattice parameters (Å, degrees): 7.835 7.570 6.759 90.00 90.23 90.00
Space group C2/m (No. 12)
Inequivalent atoms, fractional coordinates:
Zn 0.000 0.000 0.000 (multiplicity 2)
Zn 0.001 0.500 0.315 (multiplicity 4)
Zn 0.249 0.249 0.233 (multiplicity 8)
Ir 0.177 0.500 0.000 (multiplicity 4)
Au 0.000 0.184 0.500 (multiplicity 4)


Starting from DFT lattice parameters and positions (GGA-PBE), the XRD peak list of Zn7IrAu3 was calculated for Cu Kα (weighted mean of Kα1 and Kα2).

Top 8 peaks for 2θ = 10–90°, low angle first:
d = 3.662 Å, intensity 57; d = 2.293 Å, intensity 100; d = 2.224 Å, intensity 86; d = 2.103 Å, intensity 53; d = 2.070 Å, intensity 39; d = 2.035 Å, intensity 43; d = 1.945 Å, intensity 28; d = 1.204 Å, intensity 24

Atomic structure:
Lattice parameters (Å, degrees): 2.864 21.692 11.671 90.00 90.00 90.00
Space group Cmcm (No. 63)
Inequivalent atoms, fractional coordinates:
Zn 0.000 0.046 0.129 (multiplicity 8)
Zn 0.000 0.086 0.599 (multiplicity 8)
Zn 0.000 0.195 0.250 (multiplicity 4)
Zn 0.000 0.226 0.586 (multiplicity 8)
Ir 0.000 0.472 0.250 (multiplicity 4)
Au 0.000 0.332 0.250 (multiplicity 4)
Au 0.000 0.353 0.568 (multiplicity 8)


Starting from DFT lattice parameters and positions (GGA-PBE), the XRD peak list of ZrIrAu2 was calculated for Cu Kα (weighted mean of Kα1 and Kα2).

Top 8 peaks for 2θ = 10–90°, low angle first:
d = 2.378 Å, intensity 100; d = 2.224 Å, intensity 20; d = 1.989 Å, intensity 29; d = 1.483 Å, intensity 23; d = 1.407 Å, intensity 10; d = 1.312 Å, intensity 15; d = 1.211 Å, intensity 24; d = 1.189 Å, intensity 12

Atomic structure:
Lattice parameters (Å, degrees): 3.978 3.978 8.896 90.00 90.00 90.00
Space group I4/mmm (No. 139)
Inequivalent atoms, fractional coordinates:
Zr 0.000 0.000 0.000 (multiplicity 2)
Ir 0.000 0.000 0.500 (multiplicity 2)
Au 0.000 0.500 0.250 (multiplicity 4)


Starting from DFT lattice parameters and positions (GGA-PBE), the XRD peak list of K6Au was calculated for Cu Kα (weighted mean of Kα1 and Kα2).

Top 8 peaks for 2θ = 10–90°, low angle first:
d = 7.135 Å, intensity 42; d = 6.984 Å, intensity 80; d = 6.735 Å, intensity 100; d = 6.355 Å, intensity 68; d = 3.570 Å, intensity 68; d = 3.168 Å, intensity 69; d = 2.444 Å, intensity 38; d = 2.327 Å, intensity 56

Atomic structure:
Lattice parameters (Å, degrees): 15.373 13.974 8.055 90.00 90.00 90.00
Space group Pnma (No. 62)
Inequivalent atoms, fractional coordinates:
K 0.002 0.083 0.248 (multiplicity 8)
K 0.004 0.250 0.745 (multiplicity 4)
K 0.247 0.750 0.914 (multiplicity 4)
K 0.248 0.583 0.414 (multiplicity 8)
Au 0.127 0.250 0.082 (multiplicity 4)


Starting from DFT lattice parameters and positions (GGA-PBE), the XRD peak list of KAu was calculated for Cu Kα (weighted mean of Kα1 and Kα2).

Top 8 peaks for 2θ = 10–90°, low angle first:
d = 5.831 Å, intensity 91; d = 4.316 Å, intensity 100; d = 3.116 Å, intensity 57; d = 2.650 Å, intensity 49; d = 2.499 Å, intensity 38; d = 2.486 Å, intensity 88; d = 2.226 Å, intensity 58; d = 1.818 Å, intensity 33

Atomic structure:
Lattice parameters (Å, degrees): 11.662 4.998 8.625 90.00 132.47 90.00
Space group Cm (No. 8)
Inequivalent atoms, fractional coordinates:
K 0.000 0.000 0.000 (multiplicity 2)
K 0.061 0.500 0.697 (multiplicity 2)
K 0.197 0.500 0.394 (multiplicity 2)
Au 0.254 0.000 0.697 (multiplicity 2)
Au 0.324 0.000 0.088 (multiplicity 2)
Au 0.434 0.500 0.307 (multiplicity 2)


Starting from DFT lattice parameters and positions (GGA-PBE), the XRD peak list of K6Au5 was calculated for Cu Kα (weighted mean of Kα1 and Kα2).

Top 8 peaks for 2θ = 10–90°, low angle first:
d = 4.001 Å, intensity 42; d = 2.829 Å, intensity 100; d = 2.310 Å, intensity 14; d = 2.000 Å, intensity 18; d = 1.789 Å, intensity 20; d = 1.633 Å, intensity 37; d = 1.414 Å, intensity 11; d = 1.266 Å, intensity 10

Atomic structure:
Lattice parameters (Å, degrees): 5.663 7.991 16.980 90.00 90.00 90.00
Space group Immm (No. 71)
Inequivalent atoms, fractional coordinates:
K 0.000 0.237 0.000 (multiplicity 4)
K 0.000 0.257 0.328 (multiplicity 8)
Au 0.000 0.000 0.168 (multiplicity 4)
Au 0.000 0.500 0.156 (multiplicity 4)
Au 0.000 0.500 0.500 (multiplicity 2)


Starting from DFT lattice parameters and positions (GGA-PBE), the XRD peak list of K5Au3 was calculated for Cu Kα (weighted mean of Kα1 and Kα2).

Top 8 peaks for 2θ = 10–90°, low angle first:
d = 4.859 Å, intensity 100; d = 4.006 Å, intensity 28; d = 3.757 Å, intensity 29; d = 3.131 Å, intensity 75; d = 2.938 Å, intensity 30; d = 2.733 Å, intensity 44; d = 2.370 Å, intensity 27; d = 2.258 Å, intensity 26

Atomic structure:
Lattice parameters (Å, degrees): 8.641 8.641 16.026 90.00 90.00 90.00
Space group P4/ncc (No. 130, origin choice 2)
Inequivalent atoms, fractional coordinates:
K 0.074 0.580 0.106 (multiplicity 16)
K 0.250 0.250 0.243 (multiplicity 4)
Au 0.133 0.633 0.750 (multiplicity 8)
Au 0.250 0.250 0.004 (multiplicity 4)


Starting from DFT lattice parameters and positions (GGA-PBE), the XRD peak list of K3Au4 was calculated for Cu Kα (weighted mean of Kα1 and Kα2).

Top 8 peaks for 2θ = 10–90°, low angle first:
d = 5.775 Å, intensity 72; d = 5.380 Å, intensity 86; d = 4.552 Å, intensity 100; d = 2.580 Å, intensity 60; d = 2.492 Å, intensity 63; d = 2.451 Å, intensity 64; d = 2.343 Å, intensity 63; d = 2.164 Å, intensity 87

Atomic structure:
Lattice parameters (Å, degrees): 4.902 11.551 14.795 90.00 90.00 90.00
Space group Cmcm (No. 63)
Inequivalent atoms, fractional coordinates:
K 0.000 0.026 0.250 (multiplicity 4)
K 0.000 0.269 0.602 (multiplicity 8)
Au 0.000 0.000 0.000 (multiplicity 4)
Au 0.000 0.335 0.250 (multiplicity 4)
Au 0.000 0.438 0.082 (multiplicity 8)